Record 1
Diffraction record for Li4Fe3Co7O20. The X-ray powder pattern is computed, not measured: it uses a PBE+U-relaxed structure and Cu Kα (λ = 1.5418 Å).
No peak broadening, texture or thermal motion is included.

The 12 most intense peaks (15° ≤ 2θ ≤ 90°), by angle:
- 18.0°, d = 4.929 Å, rel. 100
- 35.3°, d = 2.540 Å, rel. 22
- 37.2°, d = 2.418 Å, rel. 15
- 37.7°, d = 2.386 Å, rel. 6
- 42.1°, d = 2.148 Å, rel. 37
- 45.7°, d = 1.987 Å, rel. 17
- 48.0°, d = 1.895 Å, rel. 6
- 55.2°, d = 1.665 Å, rel. 11
- 59.8°, d = 1.547 Å, rel. 8
- 62.2°, d = 1.492 Å, rel. 5
- 63.3°, d = 1.468 Å, rel. 8
- 64.3°, d = 1.449 Å, rel. 9

Cell: 6.1901 2.9840 20.0492 Å, 90.00 97.77 90.00°
Sites, in units of the cell vectors:
1 Li 0.0000 0.0000 0.0000
2 Li 0.0000 0.5000 0.5000
3 Li 0.4043 0.0000 0.7972
4 Li 0.5957 0.0000 0.2028
5 Fe 0.1006 0.0000 0.2028
6 Fe 0.5000 0.0000 0.0000
7 Fe 0.8994 0.0000 0.7972
8 Co 0.0835 0.5000 0.6925
9 Co 0.2984 0.5000 0.1006
10 Co 0.3215 0.0000 0.6018
11 Co 0.5000 0.5000 0.5000
12 Co 0.6785 0.0000 0.3982
13 Co 0.7016 0.5000 0.8994
14 Co 0.9165 0.5000 0.3075
15 O 0.0994 0.0000 0.1008
16 O 0.1002 0.5000 0.6012
17 O 0.1062 0.0000 0.3020
18 O 0.1279 0.5000 0.7889
19 O 0.2770 0.5000 0.0067
20 O 0.2814 0.0000 0.5097
21 O 0.3175 0.0000 0.6919
22 O 0.3203 0.5000 0.1947
23 O 0.4799 0.5000 0.4077
24 O 0.4977 0.0000 0.1014
25 O 0.5023 0.0000 0.8986
26 O 0.5201 0.5000 0.5923
27 O 0.6797 0.5000 0.8053
28 O 0.6825 0.0000 0.3081
29 O 0.7186 0.0000 0.4903
30 O 0.7230 0.5000 0.9933
31 O 0.8721 0.5000 0.2111
32 O 0.8938 0.0000 0.6980
33 O 0.8998 0.5000 0.3988
34 O 0.9006 0.0000 0.8992



Record 2
Diffraction record for Li9Mn2Co5O16. The X-ray powder pattern is computed, not measured: it uses a PBE+U-relaxed structure and Cu Kα (λ = 1.5418 Å).
No peak broadening, texture or thermal motion is included.

The 12 most intense peaks (15° ≤ 2θ ≤ 90°), by angle:
- 18.3°, d = 4.835 Å, rel. 100
- 34.8°, d = 2.581 Å, rel. 18
- 35.6°, d = 2.521 Å, rel. 15
- 36.8°, d = 2.444 Å, rel. 12
- 37.2°, d = 2.419 Å, rel. 8
- 41.9°, d = 2.157 Å, rel. 32
- 43.2°, d = 2.095 Å, rel. 29
- 44.9°, d = 2.017 Å, rel. 25
- 61.5°, d = 1.507 Å, rel. 9
- 61.9°, d = 1.498 Å, rel. 8
- 63.0°, d = 1.476 Å, rel. 8
- 63.2°, d = 1.470 Å, rel. 8

Cell: 3.0155 5.0016 19.4429 Å, 94.84 93.17 91.21°
Sites, in units of the cell vectors:
1 Li 0.0000 0.0000 0.0000
2 Li 0.0575 0.6893 0.1201
3 Li 0.1826 0.0615 0.3726
4 Li 0.3172 0.4381 0.6274
5 Li 0.4344 0.8193 0.8796
6 Li 0.5656 0.1807 0.1204
7 Li 0.6828 0.5619 0.3726
8 Li 0.8174 0.9385 0.6274
9 Li 0.9425 0.3107 0.8799
10 Mn 0.2501 0.7501 0.5000
11 Mn 0.7499 0.2499 0.5000
12 Co 0.1244 0.3743 0.2486
13 Co 0.3756 0.1262 0.7518
14 Co 0.5000 0.5000 0.0000
15 Co 0.6244 0.8738 0.2482
16 Co 0.8756 0.6257 0.7514
17 O 0.0171 0.3625 0.0534
18 O 0.1033 0.0400 0.1902
19 O 0.1459 0.7092 0.3068
20 O 0.1781 0.4140 0.4411
21 O 0.3218 0.0858 0.5588
22 O 0.3542 0.7920 0.6934
23 O 0.3952 0.4623 0.8081
24 O 0.4698 0.1964 0.9443
25 O 0.5302 0.8036 0.0557
26 O 0.6048 0.5377 0.1919
27 O 0.6458 0.2080 0.3066
28 O 0.6782 0.9142 0.4412
29 O 0.8219 0.5860 0.5589
30 O 0.8541 0.2908 0.6932
31 O 0.8967 0.9600 0.8098
32 O 0.9829 0.6375 0.9466



Record 3
Diffraction record for Li3Fe4B4O12. The X-ray powder pattern is computed, not measured: it uses a PBE+U-relaxed structure and Cu Kα (λ = 1.5418 Å).
No peak broadening, texture or thermal motion is included.

The 12 most intense peaks (15° ≤ 2θ ≤ 90°), by angle:
- 19.6°, d = 4.530 Å, rel. 72
- 21.5°, d = 4.132 Å, rel. 86
- 21.7°, d = 4.101 Å, rel. 40
- 25.9°, d = 3.434 Å, rel. 26
- 26.0°, d = 3.427 Å, rel. 31
- 34.2°, d = 2.625 Å, rel. 65
- 34.4°, d = 2.610 Å, rel. 31
- 35.2°, d = 2.548 Å, rel. 100
- 40.4°, d = 2.233 Å, rel. 22
- 40.6°, d = 2.222 Å, rel. 33
- 40.8°, d = 2.211 Å, rel. 26
- 61.4°, d = 1.510 Å, rel. 24

Cell: 5.2512 9.0598 10.1956 Å, 90.14 91.56 90.39°
Sites, in units of the cell vectors:
1 Li 0.0000 0.0000 0.0000
2 Li 0.0023 0.0237 0.5029
3 Li 0.1821 0.5180 0.2466
4 Li 0.1959 0.5004 0.7558
5 Li 0.5097 0.5179 0.4951
6 Li 0.6832 0.0147 0.2420
7 Fe 0.0023 0.6647 0.9722
8 Fe 0.0063 0.3530 0.4651
9 Fe 0.1857 0.1758 0.2221
10 Fe 0.1860 0.8457 0.7200
11 Fe 0.5054 0.1849 0.9681
12 Fe 0.5128 0.8505 0.4671
13 Fe 0.6714 0.6701 0.2108
14 Fe 0.6887 0.3410 0.7181
15 B 0.0094 0.6824 0.4684
16 B 0.0196 0.3371 0.9631
17 B 0.1810 0.8422 0.2135
18 B 0.1865 0.1800 0.7162
19 B 0.5089 0.8522 0.9644
20 B 0.5105 0.1802 0.4620
21 B 0.6752 0.6779 0.7133
22 B 0.6803 0.3460 0.2143
23 O 0.0412 0.9710 0.1998
24 O 0.0629 0.7072 0.1840
25 O 0.0648 0.3089 0.6773
26 O 0.0704 0.0437 0.6944
27 O 0.1237 0.8162 0.5120
28 O 0.1407 0.2055 0.0046
29 O 0.1503 0.4661 0.9493
30 O 0.1566 0.5578 0.4536
31 O 0.2478 0.8476 0.9205
32 O 0.2489 0.1740 0.4319
33 O 0.4263 0.1894 0.7744
34 O 0.4365 0.8478 0.2537
35 O 0.5307 0.4681 0.2246
36 O 0.5441 0.8090 0.6863
37 O 0.5490 0.5457 0.6999
38 O 0.5695 0.2104 0.1722
39 O 0.6242 0.3115 0.5035
40 O 0.6308 0.9875 0.9775
41 O 0.6360 0.7265 0.9997
42 O 0.6571 0.0548 0.4448
43 O 0.7508 0.6766 0.4365
44 O 0.7629 0.3283 0.9294
45 O 0.9377 0.6834 0.7469
46 O 0.9387 0.3495 0.2498



Record 4
Diffraction record for Li7Mn5O12. The X-ray powder pattern is computed, not measured: it uses a PBE+U-relaxed structure and Cu Kα (λ = 1.5418 Å).
No peak broadening, texture or thermal motion is included.

The 12 most intense peaks (15° ≤ 2θ ≤ 90°), by angle:
- 18.4°, d = 4.830 Å, rel. 100
- 34.7°, d = 2.583 Å, rel. 13
- 35.6°, d = 2.519 Å, rel. 14
- 36.3°, d = 2.474 Å, rel. 12
- 37.2°, d = 2.414 Å, rel. 9
- 41.9°, d = 2.157 Å, rel. 30
- 43.3°, d = 2.088 Å, rel. 28
- 44.5°, d = 2.037 Å, rel. 26
- 61.8°, d = 1.502 Å, rel. 8
- 62.7°, d = 1.483 Å, rel. 7
- 63.9°, d = 1.457 Å, rel. 7
- 79.4°, d = 1.207 Å, rel. 10

Cell: 5.9976 6.0111 12.9087 Å, 102.84 102.99 91.85°
Sites, in units of the cell vectors:
1 Li 0.0000 0.0000 0.0000
2 Li 0.0003 0.9996 0.4995
3 Li 0.0007 0.4995 0.9998
4 Li 0.1709 0.1751 0.8391
5 Li 0.1909 0.6474 0.8412
6 Li 0.3120 0.8559 0.6671
7 Li 0.3330 0.3286 0.6627
8 Li 0.5000 0.9997 0.4994
9 Li 0.5004 0.4997 0.4994
10 Li 0.5010 0.4993 0.9998
11 Li 0.6678 0.6701 0.3363
12 Li 0.6883 0.1426 0.3320
13 Li 0.8105 0.3508 0.1583
14 Li 0.8295 0.8236 0.1602
15 Mn 0.0004 0.4997 0.4996
16 Mn 0.1559 0.6709 0.3331
17 Mn 0.1661 0.1651 0.3338
18 Mn 0.3370 0.3318 0.1646
19 Mn 0.3434 0.8251 0.1656
20 Mn 0.5003 0.9998 0.9995
21 Mn 0.6572 0.1740 0.8333
22 Mn 0.6637 0.6675 0.8346
23 Mn 0.8347 0.8344 0.6653
24 Mn 0.8447 0.3286 0.6660
25 O 0.0510 0.0888 0.6666
26 O 0.0720 0.5828 0.1762
27 O 0.0793 0.5561 0.6576
28 O 0.1291 0.0751 0.1745
29 O 0.2228 0.2699 0.4907
30 O 0.2325 0.7324 0.4935
31 O 0.2691 0.7672 0.0068
32 O 0.2737 0.2293 0.0068
33 O 0.3740 0.4254 0.3277
34 O 0.4009 0.9178 0.8401
35 O 0.4042 0.8908 0.3320
36 O 0.4508 0.4153 0.8315
37 O 0.5498 0.5840 0.1677
38 O 0.5965 0.1089 0.6671
39 O 0.5997 0.0814 0.1592
40 O 0.6266 0.5742 0.6714
41 O 0.7271 0.7701 0.9925
42 O 0.7317 0.2321 0.9922
43 O 0.7682 0.2673 0.5055
44 O 0.7780 0.7295 0.5084
45 O 0.8714 0.9242 0.8246
46 O 0.9216 0.4434 0.3415
47 O 0.9284 0.4164 0.8228
48 O 0.9496 0.9106 0.3325